Li4V2Ni3Sn3O16: calculated powder XRD pattern (λ = 1.5418 Å (Cu Kα)), based on a GGA+U-relaxed structure.
Lines closer than 0.1° are merged.

Crystal structure
```
data_Li4V2Ni3Sn3O16
_cell_length_a 6.1187
_cell_length_b 6.1187
_cell_length_c 9.6470
_cell_angle_alpha 90.10
_cell_angle_beta 90.10
_cell_angle_gamma 59.36
_space_group_name_H-M_alt 'P 1'
_space_group_IT_number 1
loop_
_space_group_symop_operation_xyz
'x,y,z'
loop_
_atom_site_label
_atom_site_type_symbol
_atom_site_fract_x
_atom_site_fract_y
_atom_site_fract_z
Li1 Li 0.0000 0.0000 0.0000
Li2 Li 0.0134 0.0134 0.5186
Li3 Li 0.3088 0.3088 0.5979
Li4 Li 0.6647 0.6647 0.0964
V1 V 0.3167 0.3167 0.0021
V2 V 0.6308 0.6308 0.5290
Ni1 Ni 0.1725 0.1725 0.2841
Ni2 Ni 0.3315 0.8144 0.7915
Ni3 Ni 0.8144 0.3315 0.7915
Sn1 Sn 0.1670 0.6616 0.2849
Sn2 Sn 0.6616 0.1670 0.2849
Sn3 Sn 0.8166 0.8166 0.7848
O1 O 0.0075 0.0075 0.1869
O2 O 0.0465 0.4790 0.1470
O3 O 0.1669 0.6368 0.9129
O4 O 0.1730 0.1730 0.9144
O5 O 0.3310 0.3310 0.3990
O6 O 0.3525 0.8186 0.4133
O7 O 0.4790 0.0465 0.1470
O8 O 0.4849 0.4849 0.1568
O9 O 0.5025 0.5025 0.6423
O10 O 0.5090 0.9382 0.6464
O11 O 0.6368 0.1669 0.9129
O12 O 0.6555 0.6555 0.8951
O13 O 0.8186 0.3525 0.4133
O14 O 0.8468 0.8468 0.4075
O15 O 0.9382 0.5090 0.6464
O16 O 0.9911 0.9911 0.7059
```

Top 6 peaks for 2θ from 10° to 80°, in order of rising 2θ:
d = 4.823 Å, I 100
d = 4.658 Å, I 45
d = 4.621 Å, I 71
d = 2.563 Å, I 56
d = 2.539 Å, I 64
d = 2.037 Å, I 56